Computed powder diffractogram
Compound: CaAl2Si6O20
Radiation: a wavelength of 1.5418 Å
Structure: DFT lattice parameters and positions (GGA-PBE)

Cell: 7.380 16.953 7.601 Å, 90.00 108.86 90.00°
Positions (direct):
Ca (0.170, 0.000, 0.148)
Ca (0.830, 0.500, 0.852)
Al (0.254, 0.126, 0.567)
Al (0.408, 0.367, 0.763)
Al (0.592, 0.867, 0.237)
Al (0.746, 0.626, 0.433)
Si (0.117, 0.293, 0.381)
Si (0.171, 0.619, 0.390)
Si (0.288, 0.733, 0.738)
Si (0.362, 0.702, 0.145)
Si (0.379, 0.357, 0.184)
Si (0.486, 0.489, 0.489)
Si (0.514, 0.989, 0.511)
Si (0.621, 0.857, 0.816)
Si (0.638, 0.202, 0.855)
Si (0.712, 0.233, 0.262)
Si (0.829, 0.119, 0.610)
Si (0.883, 0.793, 0.619)
O (0.053, 0.102, 0.635)
O (0.116, 0.798, 0.676)
O (0.124, 0.856, 0.184)
O (0.147, 0.477, 0.827)
O (0.155, 0.998, 0.819)
O (0.171, 0.146, 0.110)
O (0.174, 0.338, 0.212)
O (0.181, 0.200, 0.393)
O (0.186, 0.670, 0.215)
O (0.215, 0.335, 0.578)
O (0.272, 0.667, 0.580)
O (0.284, 0.535, 0.403)
O (0.284, 0.685, 0.921)
O (0.321, 0.044, 0.459)
O (0.352, 0.386, 0.971)
O (0.401, 0.797, 0.182)
O (0.444, 0.154, 0.758)
O (0.487, 0.951, 0.305)
O (0.492, 0.778, 0.777)
O (0.493, 0.424, 0.334)
O (0.507, 0.924, 0.666)
O (0.508, 0.278, 0.223)
O (0.513, 0.451, 0.695)
O (0.556, 0.654, 0.242)
O (0.599, 0.297, 0.818)
O (0.648, 0.886, 0.029)
O (0.679, 0.544, 0.541)
O (0.716, 0.035, 0.597)
O (0.716, 0.185, 0.079)
O (0.728, 0.167, 0.420)
O (0.785, 0.835, 0.422)
O (0.814, 0.170, 0.785)
O (0.819, 0.700, 0.607)
O (0.826, 0.838, 0.788)
O (0.829, 0.646, 0.890)
O (0.845, 0.498, 0.181)
O (0.853, 0.977, 0.173)
O (0.876, 0.356, 0.816)
O (0.884, 0.298, 0.324)
O (0.947, 0.602, 0.365)

Top 8 peaks for 10 to 80 degrees two-theta, by intensity:
| two_theta | intensity | h k l |
| --- | --- | --- |
| 20.21 | 100 | 1 3 0 |
| 19.98 | 78 | 0 3 1 |
| 17.93 | 71 | 1 2 -1 |
| 26.10 | 42 | 1 2 -2 |
| 29.42 | 35 | 0 3 2 |
| 16.16 | 32 | 0 2 1 |
| 12.31 | 31 | 0 0 1 |
| 22.96 | 29 | 1 2 1 |